No. 1
Starting from a GGA-PBE-relaxed structure, the powder XRD pattern of ScBe2H was computed for Cu Kα, 1.54184 Å.

The 8 most intense peaks (2θ = 5–70°), sorted by position:
hkl 1 1 1, 2θ 22.02, rel. 67; hkl 2 2 0, 2θ 36.35, rel. 100; hkl 3 1 1, 2θ 42.91, rel. 76; hkl 2 2 2, 2θ 44.92, rel. 2; hkl 4 0 0, 2θ 52.35, rel. 8; hkl 3 3 1, 2θ 57.46, rel. 14; hkl 4 2 2, 2θ 65.40, rel. 29; hkl 5 1 1, 2θ 69.92, rel. 22

Cell and atoms:
Cell lengths 6.9905, 6.9905, 6.9905 Å; angles 90.00, 90.00, 90.00 degrees
Space group Fd-3m (No. 227, origin choice 2)
Symmetry-distinct sites (fractional):
1 Sc 0.1250 0.1250 0.1250 [8 per cell]
2 Be 0.0000 0.0000 0.5000 [16 per cell]
3 H 0.1250 0.1250 0.6250 [8 per cell]

---

No. 2
Starting from a GGA-PBE-relaxed structure, the powder XRD pattern of Be2HSe was computed for Cu Kα, 1.54184 Å.

The 10 most intense peaks (2θ = 5–70°), sorted by position:
hkl 0 0 1, 2θ 11.24, rel. 54; hkl 0 0 2, 2θ 22.59, rel. 40; hkl 1 0 0, 2θ 26.32, rel. 24; hkl 0 1 1, 2θ 27.66, rel. 100; hkl 0 1 -1, 2θ 28.31, rel. 56; hkl 1 0 1, 2θ 28.50, rel. 63; hkl 1 1 -1, 2θ 30.47, rel. 43; hkl 0 0 3, 2θ 34.16, rel. 37; hkl 1 1 2, 2θ 35.16, rel. 30; hkl 1 0 -2, 2θ 35.28, rel. 32

Cell and atoms:
```
data_Be2HSe
_chemical_formula_sum 'Be4 H2 Se2'
_symmetry_space_group_name_H-M 'P 1'
_symmetry_Int_Tables_number 1
_symmetry_space_group_name_Hall 'P 1'
_cell_length_a 3.7565
_cell_length_b 3.8698
_cell_length_c 7.8827
_cell_angle_alpha 87.48
_cell_angle_beta 87.96
_cell_angle_gamma 64.38
loop_
_atom_site_label
_atom_site_fract_x
_atom_site_fract_y
_atom_site_fract_z
Be1 0.0000 0.0000 0.0000
Be2 0.0112 0.8146 0.4871
Be3 0.4875 0.0342 0.1252
Be4 0.5629 0.6638 0.9146
H1 0.6428 0.3385 0.0436
H2 0.9044 0.7683 0.1263
Se1 0.0610 0.6626 0.7643
Se2 0.3652 0.1401 0.3998
```

---

No. 3
Starting from a GGA-PBE-relaxed structure, the powder XRD pattern of BeHSe was computed for Cu Kα, 1.54184 Å.

The 10 most intense peaks (2θ = 5–70°), sorted by position:
hkl 0 0 1, 2θ 9.31, rel. 100; hkl 0 0 3, 2θ 28.17, rel. 22; hkl 1 1 0, 2θ 28.61, rel. 16; hkl 0 1 1, 2θ 29.09, rel. 36; hkl 1 1 -1, 2θ 31.62, rel. 22; hkl 1 0 2, 2θ 32.67, rel. 8; hkl 0 1 -2, 2θ 35.32, rel. 9; hkl 1 0 -2, 2θ 35.55, rel. 9; hkl 2 1 1, 2θ 50.02, rel. 11; hkl -1 1 3, 2θ 58.53, rel. 9

Cell and atoms:
```
data_BeHSe
_chemical_formula_sum 'Be2 H2 Se2'
_symmetry_space_group_name_H-M 'P 1'
_symmetry_Int_Tables_number 1
_symmetry_space_group_name_Hall 'P 1'
_cell_length_a 3.6514
_cell_length_b 3.6528
_cell_length_c 9.6329
_cell_angle_alpha 82.10
_cell_angle_beta 81.68
_cell_angle_gamma 60.06
loop_
_atom_site_label
_atom_site_fract_x
_atom_site_fract_y
_atom_site_fract_z
Be1 0.0000 0.0000 0.0000
Be2 0.2882 0.2954 0.1635
H1 0.0957 0.1045 0.5598
H2 0.1800 0.1750 0.6112
Se1 0.3545 0.3520 0.9206
Se2 0.9335 0.9435 0.2430
```

---

No. 4
Starting from a GGA-PBE-relaxed structure, the powder XRD pattern of Be2HSe was computed for Cu Kα, 1.54184 Å.

The 10 most intense peaks (2θ = 5–70°), sorted by position:
hkl 0 0 2, 2θ 20.68, rel. 59; hkl 1 1 0, 2θ 27.69, rel. 100; hkl 0 2 0, 2θ 32.79, rel. 27; hkl 1 1 2, 2θ 34.81, rel. 79; hkl 0 1 3, 2θ 35.40, rel. 30; hkl 1 0 3, 2θ 38.71, rel. 26; hkl 0 2 2, 2θ 39.09, rel. 30; hkl 1 2 3, 2θ 51.62, rel. 21; hkl 0 1 5, 2θ 56.13, rel. 16; hkl 1 2 5, 2θ 68.72, rel. 18

Cell and atoms:
```
data_Be2HSe
_chemical_formula_sum 'Be8 H4 Se4'
_symmetry_space_group_name_H-M 'I 2 2 2'
_symmetry_Int_Tables_number 23
_symmetry_space_group_name_Hall 'I 2 2'
_cell_length_a 3.9896
_cell_length_b 5.4618
_cell_length_c 8.5882
_cell_angle_alpha 90.00
_cell_angle_beta 90.00
_cell_angle_gamma 90.00
loop_
_atom_site_label
_atom_site_fract_x
_atom_site_fract_y
_atom_site_fract_z
Be1 0.2244 0.1612 0.0962
H1 0.0000 0.2487 0.5000
Se1 0.0000 0.5000 0.2031
```